No. 1
Diffraction record for Tb4TeRh2. The powder diffraction line list is theoretical, not measured: it uses a cell relaxed with GGA-PBE and a wavelength of 1.5418 Å.
Peak positions follow from Bragg's law for the DFT cell and can differ from measured ones.

Top 8 peaks for 2θ = 10–90°, sorted by position:
- 2θ = 12.7°, 6.968 Å, intensity 31, hkl 1 1 1
- 2θ = 20.8°, 4.267 Å, intensity 23, hkl 0 2 2
- 2θ = 24.5°, 3.639 Å, intensity 30, hkl 3 1 1
- 2θ = 25.6°, 3.484 Å, intensity 49, hkl 2 2 2
- 2θ = 29.6°, 3.017 Å, intensity 80, hkl 4 0 0
- 2θ = 38.7°, 2.324 Å, intensity 48, hkl 1 5 1
- 2θ = 38.8°, 2.320 Å, intensity 23, hkl 5 1 1
- 2θ = 42.4°, 2.134 Å, intensity 100, hkl 4 0 4

Atomic structure:
Cell: 12.0529 12.0649 12.0908 Å, 90.00 90.00 90.00°
Space group Fddd (No. 70, origin choice 2)
Unique sites:
Tb1 0.0186 0.0192 0.2311 (multiplicity 32)
Te1 0.1250 0.1250 0.6250 (multiplicity 8)
Rh1 0.0000 0.0000 0.0000 (multiplicity 16)

No. 2
Diffraction record for Tb2Th4Rh9. The powder diffraction line list is theoretical, not measured: it uses a cell relaxed with GGA-PBE and a wavelength of 1.5418 Å.
Peak positions follow from Bragg's law for the DFT cell and can differ from measured ones.

Top 8 peaks for 2θ = 10–90°, sorted by position:
- 2θ = 20.8°, 4.280 Å, intensity 8, hkl 0 0 4
- 2θ = 27.1°, 3.288 Å, intensity 28, hkl 1 0 3
- 2θ = 34.4°, 2.608 Å, intensity 10, hkl 0 1 5
- 2θ = 38.7°, 2.325 Å, intensity 100, hkl 1 1 0
- 2θ = 44.4°, 2.041 Å, intensity 7, hkl 1 1 4
- 2θ = 50.7°, 1.801 Å, intensity 10, hkl 1 1 6
- 2θ = 55.9°, 1.644 Å, intensity 14, hkl 0 2 6
- 2θ = 70.2°, 1.341 Å, intensity 24, hkl 3 0 0

Atomic structure:
Cell: 4.6451 4.6451 17.1214 Å, 90.00 90.00 120.00°
Space group P-3m1 (No. 164)
Unique sites:
Tb1 0.3333 0.6667 0.2514 (multiplicity 2)
Th1 0.3333 0.6667 0.6027 (multiplicity 2)
Th2 0.3333 0.6667 0.9038 (multiplicity 2)
Rh1 0.0000 0.0000 0.0000 (multiplicity 1)
Rh2 0.0000 0.0000 0.1692 (multiplicity 2)
Rh3 0.0000 0.0000 0.3363 (multiplicity 2)
Rh4 0.3333 0.6667 0.0813 (multiplicity 2)
Rh5 0.3333 0.6667 0.4311 (multiplicity 2)

No. 3
Diffraction record for TbThRh2. The powder diffraction line list is theoretical, not measured: it uses a cell relaxed with GGA-PBE and a wavelength of 1.5418 Å.
Peak positions follow from Bragg's law for the DFT cell and can differ from measured ones.

Top 8 peaks for 2θ = 10–90°, sorted by position:
- 2θ = 25.4°, 3.500 Å, intensity 10, hkl 1 1 0
- 2θ = 36.1°, 2.485 Å, intensity 100, hkl 1 1 1
- 2θ = 36.3°, 2.475 Å, intensity 49, hkl 2 0 0
- 2θ = 52.3°, 1.750 Å, intensity 17, hkl 2 2 0
- 2θ = 64.9°, 1.437 Å, intensity 18, hkl 2 0 2
- 2θ = 65.2°, 1.431 Å, intensity 36, hkl 3 1 1
- 2θ = 76.7°, 1.243 Å, intensity 11, hkl 2 2 2
- 2θ = 88.3°, 1.107 Å, intensity 16, hkl 4 2 0

Atomic structure:
Cell: 4.9496 4.9496 3.5294 Å, 90.00 90.00 90.00°
Space group P4/mmm (No. 123)
Unique sites:
Tb1 0.0000 0.0000 0.0000 (multiplicity 1)
Th1 0.5000 0.5000 0.0000 (multiplicity 1)
Rh1 0.0000 0.5000 0.5000 (multiplicity 2)

No. 4
Diffraction record for Tb5Tl2Rh. The powder diffraction line list is theoretical, not measured: it uses a cell relaxed with GGA-PBE and a wavelength of 1.5418 Å.
Peak positions follow from Bragg's law for the DFT cell and can differ from measured ones.

Top 8 peaks for 2θ = 10–90°, sorted by position:
- 2θ = 31.1°, 2.874 Å, intensity 100, hkl 2 1 1
- 2θ = 31.4°, 2.851 Å, intensity 25, hkl 1 4 0
- 2θ = 33.6°, 2.665 Å, intensity 26, hkl 2 2 1
- 2θ = 34.7°, 2.586 Å, intensity 24, hkl 0 4 1
- 2θ = 37.8°, 2.380 Å, intensity 32, hkl 0 0 2
- 2θ = 49.9°, 1.827 Å, intensity 17, hkl 1 4 2
- 2θ = 64.1°, 1.452 Å, intensity 13, hkl 2 1 3
- 2θ = 64.9°, 1.437 Å, intensity 16, hkl 2 6 2

Atomic structure:
Cell: 7.5410 12.3196 4.7599 Å, 90.00 90.00 90.00°
Space group Pbam (No. 55)
Unique sites:
Tb1 0.0000 0.0000 0.0000 (multiplicity 2)
Tb2 0.1343 0.2934 0.0000 (multiplicity 4)
Tb3 0.1814 0.5767 0.5000 (multiplicity 4)
Tl1 0.0834 0.8334 0.5000 (multiplicity 4)
Rh1 0.0000 0.5000 0.0000 (multiplicity 2)

No. 5
Diffraction record for TbTm3Rh4. The powder diffraction line list is theoretical, not measured: it uses a cell relaxed with GGA-PBE and a wavelength of 1.5418 Å.
Peak positions follow from Bragg's law for the DFT cell and can differ from measured ones.

Top 8 peaks for 2θ = 10–90°, sorted by position:
- 2θ = 26.3°, 3.394 Å, intensity 6, hkl 1 0 4
- 2θ = 37.5°, 2.400 Å, intensity 100, hkl 1 1 0
- 2θ = 46.3°, 1.959 Å, intensity 2, hkl 0 0 12
- 2θ = 54.0°, 1.697 Å, intensity 17, hkl 2 0 8
- 2θ = 61.1°, 1.518 Å, intensity 3, hkl 1 1 12
- 2θ = 67.6°, 1.385 Å, intensity 35, hkl 3 0 0
- 2θ = 80.0°, 1.200 Å, intensity 11, hkl 2 2 0
- 2θ = 85.9°, 1.131 Å, intensity 1, hkl 0 1 20

Atomic structure:
Cell: 4.7978 4.7978 23.5258 Å, 90.00 90.00 120.00°
Space group R-3m (No. 166, hexagonal axes)
Unique sites:
Tb1 0.0000 0.0000 0.0000 (multiplicity 3)
Tm1 0.0000 0.0000 0.2493 (multiplicity 6)
Tm2 0.0000 0.0000 0.5000 (multiplicity 3)
Rh1 0.0000 0.0000 0.1259 (multiplicity 6)
Rh2 0.0000 0.0000 0.3759 (multiplicity 6)

No. 6
Diffraction record for Tb3TmRh4. The powder diffraction line list is theoretical, not measured: it uses a cell relaxed with GGA-PBE and a wavelength of 1.5418 Å.
Peak positions follow from Bragg's law for the DFT cell and can differ from measured ones.

Top 8 peaks for 2θ = 10–90°, sorted by position:
- 2θ = 37.1°, 2.424 Å, intensity 100, hkl 3 1 1
- 2θ = 37.2°, 2.418 Å, intensity 50, hkl 0 2 0
- 2θ = 53.3°, 1.719 Å, intensity 9, hkl 8 0 0
- 2θ = 53.6°, 1.710 Å, intensity 17, hkl 2 2 -2
- 2θ = 66.8°, 1.401 Å, intensity 18, hkl 8 2 0
- 2θ = 67.0°, 1.397 Å, intensity 35, hkl 3 3 1
- 2θ = 79.0°, 1.212 Å, intensity 11, hkl 6 2 2
- 2θ = 79.2°, 1.209 Å, intensity 5, hkl 0 4 0

Atomic structure:
Cell: 14.5674 4.8354 4.8353 Å, 90.00 109.31 90.00°
Space group C2/m (No. 12)
Unique sites:
Tb1 0.0000 0.0000 0.0000 (multiplicity 2)
Tb2 0.2495 0.5000 0.7495 (multiplicity 4)
Tm1 0.0000 0.5000 0.5000 (multiplicity 2)
Rh1 0.1236 0.0000 0.6236 (multiplicity 4)
Rh2 0.1236 0.5000 0.1236 (multiplicity 4)

No. 7
Diffraction record for Tb4Tm3Rh4. The powder diffraction line list is theoretical, not measured: it uses a cell relaxed with GGA-PBE and a wavelength of 1.5418 Å.
Peak positions follow from Bragg's law for the DFT cell and can differ from measured ones.

Top 8 peaks for 2θ = 10–90°, sorted by position:
- 2θ = 32.3°, 2.770 Å, intensity 100, hkl 1 2 1
- 2θ = 34.6°, 2.596 Å, intensity 61, hkl 0 3 3
- 2θ = 34.9°, 2.571 Å, intensity 80, hkl 1 1 4
- 2θ = 39.4°, 2.287 Å, intensity 35, hkl 0 2 6
- 2θ = 40.8°, 2.210 Å, intensity 29, hkl 1 3 2
- 2θ = 50.4°, 1.812 Å, intensity 25, hkl 2 0 0
- 2θ = 62.5°, 1.486 Å, intensity 33, hkl 0 6 0
- 2θ = 62.5°, 1.486 Å, intensity 28, hkl 1 5 4

Atomic structure:
Cell: 3.6245 8.9176 15.9881 Å, 90.00 90.00 90.00°
Space group Immm (No. 71)
Unique sites:
Tb1 0.0000 0.1864 0.1639 (multiplicity 8)
Tm1 0.0000 0.0000 0.3989 (multiplicity 4)
Tm2 0.0000 0.5000 0.5000 (multiplicity 2)
Rh1 0.0000 0.2864 0.0000 (multiplicity 4)
Rh2 0.0000 0.5000 0.2437 (multiplicity 4)

No. 8
Diffraction record for TbY2Rh2. The powder diffraction line list is theoretical, not measured: it uses a cell relaxed with GGA-PBE and a wavelength of 1.5418 Å.
Peak positions follow from Bragg's law for the DFT cell and can differ from measured ones.

Top 8 peaks for 2θ = 10–90°, sorted by position:
- 2θ = 19.0°, 4.661 Å, intensity 42, hkl 1 0 1
- 2θ = 28.1°, 3.181 Å, intensity 49, hkl 1 1 1
- 2θ = 33.2°, 2.698 Å, intensity 75, hkl 0 1 3
- 2θ = 35.1°, 2.558 Å, intensity 39, hkl 2 0 -2
- 2θ = 35.7°, 2.513 Å, intensity 100, hkl 1 1 -3
- 2θ = 38.4°, 2.345 Å, intensity 39, hkl 1 1 3
- 2θ = 40.9°, 2.205 Å, intensity 43, hkl 2 1 -2
- 2θ = 41.5°, 2.176 Å, intensity 58, hkl 0 2 0

Atomic structure:
Cell: 5.5628 4.3521 10.3799 Å, 90.00 96.40 90.00°
Space group P2_1/m (No. 11)
Unique sites:
Tb1 0.0963 0.2500 0.2929 (multiplicity 2)
Y1 0.2499 0.2500 0.9689 (multiplicity 2)
Y2 0.3880 0.2500 0.6204 (multiplicity 2)
Rh1 0.1593 0.7500 0.4706 (multiplicity 2)
Rh2 0.2583 0.7500 0.1451 (multiplicity 2)

No. 9
Diffraction record for Tb3YRh3. The powder diffraction line list is theoretical, not measured: it uses a cell relaxed with GGA-PBE and a wavelength of 1.5418 Å.
Peak positions follow from Bragg's law for the DFT cell and can differ from measured ones.

Top 8 peaks for 2θ = 10–90°, sorted by position:
- 2θ = 12.7°, 6.944 Å, intensity 14, hkl 1 1 0
- 2θ = 36.5°, 2.461 Å, intensity 26, hkl 0 4 0
- 2θ = 36.7°, 2.449 Å, intensity 26, hkl 4 0 0
- 2θ = 37.2°, 2.420 Å, intensity 100, hkl 2 2 2
- 2θ = 52.7°, 1.736 Å, intensity 18, hkl 4 4 0
- 2θ = 66.1°, 1.413 Å, intensity 18, hkl 2 6 2
- 2θ = 66.4°, 1.408 Å, intensity 18, hkl 6 2 2
- 2θ = 79.2°, 1.210 Å, intensity 11, hkl 4 4 4

Atomic structure:
Cell: 9.7958 9.8451 6.7494 Å, 90.00 90.07 90.00°
Space group C2/m (No. 12)
Unique sites:
Tb1 0.0000 0.2428 0.0000 (multiplicity 4)
Tb2 0.0000 0.2453 0.5000 (multiplicity 4)
Tb3 0.2454 0.0000 0.5008 (multiplicity 4)
Y1 0.2479 0.0000 0.0008 (multiplicity 4)
Rh1 0.0000 0.0000 0.2516 (multiplicity 4)
Rh2 0.2500 0.2500 0.2504 (multiplicity 8)

No. 10
Diffraction record for Tb2Zn5Rh4. The powder diffraction line list is theoretical, not measured: it uses a cell relaxed with GGA-PBE and a wavelength of 1.5418 Å.
Peak positions follow from Bragg's law for the DFT cell and can differ from measured ones.

Top 8 peaks for 2θ = 10–90°, sorted by position:
- 2θ = 21.7°, 4.090 Å, intensity 28, hkl 0 0 4
- 2θ = 25.4°, 3.504 Å, intensity 23, hkl 1 1 3
- 2θ = 34.6°, 2.596 Å, intensity 50, hkl 1 3 1
- 2θ = 38.0°, 2.368 Å, intensity 100, hkl 1 3 3
- 2θ = 39.4°, 2.286 Å, intensity 25, hkl 2 2 0
- 2θ = 40.6°, 2.221 Å, intensity 78, hkl 2 0 4
- 2θ = 44.3°, 2.047 Å, intensity 56, hkl 0 0 8
- 2θ = 52.4°, 1.747 Å, intensity 32, hkl 1 3 7

Atomic structure:
Cell: 5.2897 9.0881 16.3608 Å, 90.00 90.00 90.00°
Space group Fmmm (No. 69)
Unique sites:
Tb1 0.0000 0.0000 0.1443 (multiplicity 8)
Zn1 0.0000 0.0000 0.5000 (multiplicity 4)
Zn2 0.2500 0.2500 0.0000 (multiplicity 8)
Zn3 0.2500 0.2500 0.2500 (multiplicity 8)
Rh1 0.0000 0.1594 0.3726 (multiplicity 16)

No. 11
Diffraction record for Tb6Zn5Rh. The powder diffraction line list is theoretical, not measured: it uses a cell relaxed with GGA-PBE and a wavelength of 1.5418 Å.
Peak positions follow from Bragg's law for the DFT cell and can differ from measured ones.

Top 8 peaks for 2θ = 10–90°, sorted by position:
- 2θ = 25.0°, 3.560 Å, intensity 14, hkl 1 0 1
- 2θ = 35.7°, 2.516 Å, intensity 100, hkl 2 0 -1
- 2θ = 35.7°, 2.512 Å, intensity 50, hkl 1 2 -2
- 2θ = 51.3°, 1.782 Å, intensity 9, hkl 2 0 2
- 2θ = 51.5°, 1.774 Å, intensity 9, hkl 0 4 0
- 2θ = 64.1°, 1.454 Å, intensity 18, hkl 3 2 0
- 2θ = 64.2°, 1.451 Å, intensity 26, hkl 2 4 -1
- 2θ = 75.7°, 1.257 Å, intensity 13, hkl 2 4 2

Atomic structure:
Cell: 5.0400 7.0975 7.9475 Å, 90.00 108.37 90.00°
Space group P2/m (No. 10)
Unique sites:
Tb1 0.0000 0.2420 0.0000 (multiplicity 2)
Tb2 0.3379 0.2466 0.6761 (multiplicity 4)
Zn1 0.1698 0.5000 0.3382 (multiplicity 2)
Zn2 0.1743 0.0000 0.3488 (multiplicity 2)
Zn3 0.5000 0.5000 0.0000 (multiplicity 1)
Rh1 0.5000 0.0000 0.0000 (multiplicity 1)

No. 12
Diffraction record for Tb3ZnRh8. The powder diffraction line list is theoretical, not measured: it uses a cell relaxed with GGA-PBE and a wavelength of 1.5418 Å.
Peak positions follow from Bragg's law for the DFT cell and can differ from measured ones.

Top 8 peaks for 2θ = 10–90°, sorted by position:
- 2θ = 33.9°, 2.647 Å, intensity 35, hkl 1 1 0
- 2θ = 39.9°, 2.257 Å, intensity 100, hkl 2 0 2
- 2θ = 41.8°, 2.160 Å, intensity 25, hkl 0 2 4
- 2θ = 60.6°, 1.527 Å, intensity 10, hkl 3 0 0
- 2θ = 64.7°, 1.440 Å, intensity 23, hkl 3 0 6
- 2θ = 71.2°, 1.325 Å, intensity 12, hkl 0 2 16
- 2θ = 71.3°, 1.322 Å, intensity 13, hkl 2 2 0
- 2θ = 86.2°, 1.128 Å, intensity 9, hkl 4 0 4

Atomic structure:
Cell: 5.2881 5.2881 25.9833 Å, 90.00 90.00 120.00°
Space group R3m (No. 160, hexagonal axes)
Unique sites:
Tb1 0.0000 0.0000 0.0000 (multiplicity 3)
Tb2 0.0000 0.0000 0.1293 (multiplicity 3)
Tb3 0.0000 0.0000 0.5123 (multiplicity 3)
Zn1 0.0000 0.0000 0.6359 (multiplicity 3)
Rh1 0.0000 0.0000 0.3168 (multiplicity 3)
Rh2 0.0000 0.0000 0.8171 (multiplicity 3)
Rh3 0.9995 0.4998 0.5681 (multiplicity 9)
Rh4 0.1670 0.3340 0.3997 (multiplicity 9)

No. 13
Diffraction record for Tb3ZnRh3. The powder diffraction line list is theoretical, not measured: it uses a cell relaxed with GGA-PBE and a wavelength of 1.5418 Å.
Peak positions follow from Bragg's law for the DFT cell and can differ from measured ones.

Top 8 peaks for 2θ = 10–90°, sorted by position:
- 2θ = 26.7°, 3.333 Å, intensity 34, hkl 1 1 2
- 2θ = 30.5°, 2.930 Å, intensity 40, hkl 1 1 3
- 2θ = 34.1°, 2.627 Å, intensity 65, hkl 1 3 0
- 2θ = 35.2°, 2.552 Å, intensity 87, hkl 1 1 4
- 2θ = 35.6°, 2.521 Å, intensity 31, hkl 0 4 1
- 2θ = 39.3°, 2.291 Å, intensity 33, hkl 0 0 6
- 2θ = 39.5°, 2.279 Å, intensity 100, hkl 1 3 3
- 2θ = 44.1°, 2.053 Å, intensity 60, hkl 2 0 0

Atomic structure:
Cell: 4.1053 10.2564 13.7432 Å, 90.00 90.00 90.00°
Space group Cmcm (No. 63)
Unique sites:
Tb1 0.0000 0.0259 0.2500 (multiplicity 4)
Tb2 0.0000 0.3034 0.1036 (multiplicity 8)
Zn1 0.0000 0.0000 0.0000 (multiplicity 4)
Rh1 0.0000 0.2488 0.7500 (multiplicity 4)
Rh2 0.0000 0.4088 0.5903 (multiplicity 8)